Starting from a crystal structure in the Materials Project, relaxed with GGA-PBE, the X-ray diffraction stick pattern of Ca2YTiO5 was calculated for Cu Kα X-rays.

Principal peaks in the range 15 to 90 degrees two-theta, low angle first:
- 22.4°, d = 3.976 Å, rel. 19
- 25.0°, d = 3.562 Å, rel. 24
- 31.3°, d = 2.856 Å, rel. 37
- 31.7°, d = 2.824 Å, rel. 100
- 32.3°, d = 2.769 Å, rel. 41
- 45.2°, d = 2.005 Å, rel. 18
- 45.6°, d = 1.988 Å, rel. 41
- 51.0°, d = 1.792 Å, rel. 23
- 56.0°, d = 1.642 Å, rel. 27
- 57.3°, d = 1.609 Å, rel. 21

Crystal structure
Lattice parameters (Å, degrees): 16.0422 5.7115 5.5384 90.00 90.00 90.00
Space group Ima2 (No. 46)
Inequivalent atoms, fractional coordinates:
Ca (0.1004, 0.0282, 0.0000) (multiplicity 8)
Y (0.2500, 0.5422, 0.9709) (multiplicity 4)
Ti (0.0000, 0.0000, 0.5251) (multiplicity 4)
O (0.0170, 0.7450, 0.7735) (multiplicity 8)
O (0.1288, 0.0818, 0.5684) (multiplicity 8)
O (0.2500, 0.5854, 0.5723) (multiplicity 4)



Starting from a crystal structure in the Materials Project, relaxed with GGA-PBE, the X-ray diffraction stick pattern of CaY3Ti4O12 was calculated for Cu Kα X-rays.

Principal peaks in the range 15 to 90 degrees two-theta, low angle first:
- 25.7°, d = 3.470 Å, rel. 20
- 31.7°, d = 2.824 Å, rel. 20
- 32.7°, d = 2.738 Å, rel. 100
- 33.5°, d = 2.676 Å, rel. 23
- 46.8°, d = 1.942 Å, rel. 24
- 47.1°, d = 1.930 Å, rel. 18
- 48.3°, d = 1.884 Å, rel. 11
- 59.0°, d = 1.565 Å, rel. 12
- 59.4°, d = 1.557 Å, rel. 24
- 68.5°, d = 1.369 Å, rel. 11

Crystal structure
Lattice parameters (Å, degrees): 5.3516 7.7203 5.6479 90.00 90.09 90.00
Space group Pm (No. 6)
Inequivalent atoms, fractional coordinates:
Ca (0.0000, 0.0000, 0.0000) (multiplicity 1)
Y (0.4638, 0.0000, 0.5067) (multiplicity 1)
Y (0.5020, 0.5000, 0.3689) (multiplicity 1)
Y (0.9660, 0.5000, 0.8700) (multiplicity 1)
Ti (0.4820, 0.2473, 0.9388) (multiplicity 2)
Ti (0.9859, 0.2477, 0.4372) (multiplicity 2)
O (0.0915, 0.5000, 0.4758) (multiplicity 1)
O (0.1835, 0.2001, 0.7335) (multiplicity 2)
O (0.2973, 0.1999, 0.2453) (multiplicity 2)
O (0.3724, 0.5000, 0.9765) (multiplicity 1)
O (0.5766, 0.0000, 0.9036) (multiplicity 1)
O (0.6797, 0.3069, 0.6388) (multiplicity 2)
O (0.7873, 0.3108, 0.1385) (multiplicity 2)
O (0.8767, 0.0000, 0.4082) (multiplicity 1)



Starting from a crystal structure in the Materials Project, relaxed with GGA-PBE, the X-ray diffraction stick pattern of Ca3YTi4O12 was calculated for Cu Kα X-rays.

Principal peaks in the range 15 to 90 degrees two-theta, low angle first:
- 25.8°, d = 3.457 Å, rel. 12
- 32.4°, d = 2.767 Å, rel. 24
- 32.8°, d = 2.732 Å, rel. 100
- 33.2°, d = 2.701 Å, rel. 24
- 46.9°, d = 1.936 Å, rel. 18
- 47.1°, d = 1.930 Å, rel. 40
- 58.3°, d = 1.583 Å, rel. 11
- 58.8°, d = 1.571 Å, rel. 12
- 59.0°, d = 1.567 Å, rel. 13
- 59.1°, d = 1.564 Å, rel. 13

Crystal structure
Lattice parameters (Å, degrees): 5.4020 7.7240 5.5334 90.00 90.20 90.00
Space group Pm (No. 6)
Inequivalent atoms, fractional coordinates:
Ca (0.0000, 0.0000, 0.0000) (multiplicity 1)
Ca (0.0183, 0.5000, 0.0933) (multiplicity 1)
Ca (0.5009, 0.5000, 0.5940) (multiplicity 1)
Y (0.5170, 0.0000, 0.4920) (multiplicity 1)
Ti (0.0108, 0.2523, 0.5480) (multiplicity 2)
Ti (0.5078, 0.2520, 0.0461) (multiplicity 2)
O (0.1003, 0.0000, 0.5683) (multiplicity 1)
O (0.2114, 0.2911, 0.8431) (multiplicity 2)
O (0.3089, 0.2872, 0.3452) (multiplicity 2)
O (0.4305, 0.0000, 0.0754) (multiplicity 1)
O (0.5891, 0.5000, 0.0254) (multiplicity 1)
O (0.7066, 0.2027, 0.7460) (multiplicity 2)
O (0.8015, 0.2043, 0.2568) (multiplicity 2)
O (0.9318, 0.5000, 0.5256) (multiplicity 1)



Starting from a crystal structure in the Materials Project, relaxed with GGA-PBE, the X-ray diffraction stick pattern of CaZrTi2O7 was calculated for Cu Kα X-rays.

Principal peaks in the range 15 to 90 degrees two-theta, low angle first:
- 29.9°, d = 2.984 Å, rel. 91
- 30.1°, d = 2.970 Å, rel. 100
- 30.3°, d = 2.953 Å, rel. 91
- 31.7°, d = 2.821 Å, rel. 75
- 35.3°, d = 2.542 Å, rel. 35
- 49.5°, d = 1.842 Å, rel. 31
- 49.9°, d = 1.829 Å, rel. 29
- 50.1°, d = 1.821 Å, rel. 38
- 51.8°, d = 1.764 Å, rel. 26
- 52.0°, d = 1.759 Å, rel. 26

Crystal structure
Lattice parameters (Å, degrees): 7.2857 7.3152 11.4775 80.98 80.85 60.61
Space group P-1 (No. 2)
Inequivalent atoms, fractional coordinates:
Ca (0.9999, 0.2464, 0.0109) (multiplicity 2)
Ca (0.2524, 0.5003, 0.4995) (multiplicity 2)
Zr (0.2557, 0.9991, 0.4747) (multiplicity 2)
Zr (0.4965, 0.7570, 0.9730) (multiplicity 2)
Ti (0.0853, 0.4826, 0.2539) (multiplicity 2)
Ti (0.1222, 0.8850, 0.2458) (multiplicity 2)
Ti (0.3629, 0.6274, 0.7474) (multiplicity 2)
Ti (0.3746, 0.1275, 0.7517) (multiplicity 2)
O (0.0410, 0.8806, 0.4174) (multiplicity 2)
O (0.0677, 0.2197, 0.7833) (multiplicity 2)
O (0.0793, 0.8357, 0.7817) (multiplicity 2)
O (0.1083, 0.3310, 0.4016) (multiplicity 2)
O (0.1628, 0.3959, 0.1049) (multiplicity 2)
O (0.2084, 0.8781, 0.0711) (multiplicity 2)
O (0.2476, 0.4437, 0.7226) (multiplicity 2)
O (0.3015, 0.5549, 0.2775) (multiplicity 2)
O (0.3369, 0.9323, 0.2909) (multiplicity 2)
O (0.3784, 0.1187, 0.5824) (multiplicity 2)
O (0.3794, 0.1245, 0.9202) (multiplicity 2)
O (0.3792, 0.7043, 0.5742) (multiplicity 2)
O (0.3822, 0.5359, 0.9165) (multiplicity 2)
O (0.4392, 0.8372, 0.7909) (multiplicity 2)